Record 1
Starting from a crystal structure in Alexandria, relaxed with GGA-PBE, the powder diffractogram of Al3Hg2 was computed for a wavelength of 1.5418 Å.
Neutral-atom scattering factors, no anomalous dispersion.

Cell and atoms:
Unit cell a=3.3359 b=3.3359 c=31.1786 alpha=90.00 beta=90.00 gamma=120.00
Space group R-3m (No. 166, hexagonal axes)
One atom of each set of equivalent atoms:
Al1 0.0000 0.0000 0.0000 [3 per cell]
Al2 0.0000 0.0000 0.1988 [6 per cell]
Hg1 0.0000 0.0000 0.4009 [6 per cell]

Top 12 peaks for 10° ≤ 2θ ≤ 90°, by angle:
| Position (°2θ) | I/Imax | h k l |
| --- | --- | --- |
| 17.06 | 60 | 0 0 6 |
| 25.72 | 21 | 0 0 9 |
| 31.09 | 43 | 1 0 1 |
| 33.07 | 36 | 1 0 4 |
| 34.21 | 100 | 0 1 5 |
| 42.67 | 54 | 1 0 10 |
| 43.54 | 17 | 0 0 15 |
| 44.79 | 18 | 0 1 11 |
| 55.06 | 26 | 1 1 0 |
| 58.08 | 16 | 1 1 6 |
| 66.44 | 15 | 2 0 5 |
| 72.68 | 23 | 1 1 15 |

=====

Record 2
Starting from a crystal structure in Alexandria, relaxed with GGA-PBE, the powder diffractogram of Al3Hg4 was computed for a wavelength of 1.5418 Å.
Neutral-atom scattering factors, no anomalous dispersion.

Cell and atoms:
Unit cell a=5.4453 b=5.4453 c=6.1352 alpha=90.00 beta=90.00 gamma=120.00
Space group P6/mmm (No. 191)
One atom of each set of equivalent atoms:
Al1 0.0000 0.5000 0.0000 [3 per cell]
Hg1 0.0000 0.0000 0.2584 [2 per cell]
Hg2 0.3333 0.6667 0.5000 [2 per cell]

Top 12 peaks for 10° ≤ 2θ ≤ 90°, by angle:
| Position (°2θ) | I/Imax | h k l |
| --- | --- | --- |
| 14.44 | 37 | 0 0 1 |
| 18.82 | 17 | 1 0 0 |
| 23.80 | 15 | 1 0 1 |
| 32.90 | 89 | 1 1 0 |
| 34.89 | 100 | 1 0 2 |
| 36.09 | 47 | 1 1 1 |
| 48.71 | 27 | 2 0 2 |
| 58.74 | 18 | 3 0 0 |
| 60.03 | 43 | 2 1 2 |
| 68.98 | 14 | 2 2 0 |
| 70.46 | 20 | 1 1 4 |
| 79.70 | 19 | 3 1 2 |